Structure and theoretical X-ray diffraction stick pattern of Dy2MgS4 (the PBE geometry in the Materials Project; copper Kα).
No peak broadening, texture or thermal motion is included.

Main lines, sorted by position (10 to 90 degrees two-theta):
15.0°, rel. 575
21.7°, rel. 413
26.0°, rel. 867
26.5°, rel. 1000
33.4°, rel. 418
34.5°, rel. 445
34.6°, rel. 867
40.2°, rel. 753
41.1°, rel. 534
49.4°, rel. 355

```
data_Dy2MgS4
_chemical_formula_sum 'Dy8 Mg4 S16'
_cell_length_a 8.187
_cell_length_b 8.187
_cell_length_c 8.511
_cell_angle_alpha 90.00
_cell_angle_beta 90.00
_cell_angle_gamma 90.00
_symmetry_space_group_name_H-M 'I -4 2 d'
_symmetry_Int_Tables_number 122
_symmetry_space_group_name_Hall 'I -4 2bw'
loop_
_atom_site_label
_atom_site_fract_x
_atom_site_fract_y
_atom_site_fract_z
Dy1 0.132 0.250 0.125
Mg1 0.000 0.000 0.500
S1 0.067 0.195 0.811
```

Structure and theoretical X-ray diffraction stick pattern of Cs2Ni3S4 (the PBE geometry in the Materials Project; copper Kα).
No peak broadening, texture or thermal motion is included.

Main lines, sorted by position (10 to 90 degrees two-theta):
11.6°, rel. 292
21.0°, rel. 215
24.7°, rel. 1000
30.3°, rel. 446
35.7°, rel. 316
38.6°, rel. 449
46.4°, rel. 204
50.7°, rel. 397
55.5°, rel. 195
63.1°, rel. 161

```
data_Cs2Ni3S4
_chemical_formula_sum 'Cs4 Ni6 S8'
_cell_length_a 5.8916
_cell_length_b 5.8916
_cell_length_c 15.2362
_cell_angle_alpha 90.00
_cell_angle_beta 90.00
_cell_angle_gamma 120.00
_symmetry_space_group_name_H-M 'P 63/m m c'
_symmetry_Int_Tables_number 194
_symmetry_space_group_name_Hall '-P 6c 2c'
loop_
_atom_site_label
_atom_site_fract_x
_atom_site_fract_y
_atom_site_fract_z
Cs1 0.3333 0.6667 0.0908
Ni1 0.1665 0.3330 0.7500
S1 0.0000 0.0000 0.1571
S2 0.3333 0.6667 0.6565
```

Structure and theoretical X-ray diffraction stick pattern of Li2PdPb (the PBE geometry in the Materials Project; copper Kα).
No peak broadening, texture or thermal motion is included.

Main lines, sorted by position (10 to 90 degrees two-theta):
23.5°, rel. 1000
27.2°, rel. 93
38.8°, rel. 861
45.9°, rel. 523
56.1°, rel. 149
61.7°, rel. 219
70.3°, rel. 305
75.3°, rel. 166
83.4°, rel. 98
88.1°, rel. 176

```
data_Li2PdPb
_chemical_formula_sum 'Li8 Pd4 Pb4'
_cell_length_a 6.558
_cell_length_b 6.558
_cell_length_c 6.558
_cell_angle_alpha 90.00
_cell_angle_beta 90.00
_cell_angle_gamma 90.00
_symmetry_space_group_name_H-M 'F -4 3 m'
_symmetry_Int_Tables_number 216
_symmetry_space_group_name_Hall 'F -4 2 3'
loop_
_atom_site_label
_atom_site_fract_x
_atom_site_fract_y
_atom_site_fract_z
Li1 0.000 0.000 0.000
Li2 0.250 0.250 0.250
Pd1 0.000 0.000 0.500
Pb1 0.250 0.250 0.750
```

Structure and theoretical X-ray diffraction stick pattern of SiTe2 (the PBE geometry in the Materials Project; copper Kα).
No peak broadening, texture or thermal motion is included.

Main lines, sorted by position (10 to 90 degrees two-theta):
12.3°, rel. 137
24.7°, rel. 259
27.2°, rel. 126
29.9°, rel. 1000
37.1°, rel. 315
46.9°, rel. 281
48.0°, rel. 224
54.8°, rel. 175
57.6°, rel. 154
78.2°, rel. 125

```
data_SiTe2
_chemical_formula_sum 'Si1 Te2'
_cell_length_a 3.7894
_cell_length_b 3.7894
_cell_length_c 7.1979
_cell_angle_alpha 90.00
_cell_angle_beta 90.00
_cell_angle_gamma 120.00
_symmetry_space_group_name_H-M 'P -3 m 1'
_symmetry_Int_Tables_number 164
_symmetry_space_group_name_Hall '-P 3 2"'
loop_
_atom_site_label
_atom_site_fract_x
_atom_site_fract_y
_atom_site_fract_z
Si1 0.0000 0.0000 0.0000
Te1 0.3333 0.6667 0.7727
```

Structure and theoretical X-ray diffraction stick pattern of Na4HgP2 (the PBE geometry in the Materials Project; copper Kα).
No peak broadening, texture or thermal motion is included.

Main lines, sorted by position (10 to 90 degrees two-theta):
10.3°, rel. 724
20.7°, rel. 1000
21.6°, rel. 659
24.7°, rel. 233
26.8°, rel. 546
35.8°, rel. 608
37.3°, rel. 232
40.6°, rel. 399
41.7°, rel. 224
48.2°, rel. 218

```
data_Na4HgP2
_chemical_formula_sum 'Na12 Hg3 P6'
_cell_length_a 5.0221
_cell_length_b 5.0221
_cell_length_c 25.8122
_cell_angle_alpha 90.00
_cell_angle_beta 90.00
_cell_angle_gamma 120.00
_symmetry_space_group_name_H-M 'R -3 m'
_symmetry_Int_Tables_number 166
_symmetry_space_group_name_Hall '-R 3 2"'
loop_
_atom_site_label
_atom_site_fract_x
_atom_site_fract_y
_atom_site_fract_z
Na1 0.0000 0.0000 0.0972
Na2 0.0000 0.0000 0.2928
Hg1 0.0000 0.0000 0.5000
P1 0.0000 0.0000 0.4063
```

Structure and theoretical X-ray diffraction stick pattern of TiCrTc2 (the PBE geometry in the Materials Project; copper Kα).
No peak broadening, texture or thermal motion is included.

Main lines, sorted by position (10 to 90 degrees two-theta):
29.4°, rel. 146
42.0°, rel. 1000
52.1°, rel. 42
61.0°, rel. 157
69.1°, rel. 56
76.8°, rel. 308

```
data_TiCrTc2
_chemical_formula_sum 'Ti4 Cr4 Tc8'
_cell_length_a 6.080
_cell_length_b 6.080
_cell_length_c 6.080
_cell_angle_alpha 90.00
_cell_angle_beta 90.00
_cell_angle_gamma 90.00
_symmetry_space_group_name_H-M 'F m -3 m'
_symmetry_Int_Tables_number 225
_symmetry_space_group_name_Hall '-F 4 2 3'
loop_
_atom_site_label
_atom_site_fract_x
_atom_site_fract_y
_atom_site_fract_z
Ti1 0.000 0.000 0.000
Cr1 0.000 0.000 0.500
Tc1 0.250 0.250 0.250
```